# Pm5CdPb2
Simulated powder diffraction line list, Cu Kα (λ = 1.5418 Å). Input: DFT lattice parameters and positions (GGA-PBE).
Lines closer than 0.1° are merged.

Structure:
```
data_Pm5CdPb2
_chemical_formula_sum 'Pm15 Cd3 Pb6'
_space_group_name_H-M_alt 'R -3 m'
_space_group_IT_number 166
_space_group_name_Hall '-R 3 2"'
_cell_length_a 5.4061
_cell_length_b 5.4061
_cell_length_c 28.9951
_cell_angle_alpha 90.00
_cell_angle_beta 90.00
_cell_angle_gamma 120.00
loop_
_atom_site_label
_atom_site_fract_x
_atom_site_fract_y
_atom_site_fract_z
Pm1 0.0000 0.0000 0.0000
Pm2 0.0000 0.0000 0.1289
Pm3 0.0000 0.0000 0.2606
Cd1 0.0000 0.0000 0.5000
Pb1 0.0000 0.0000 0.3847
```

Top 10 peaks for 5° ≤ 2θ ≤ 70°, in order of falling intensity:
hkl  2θ/deg  d/Å  I (rel.)
0 1 8  31.21  2.866  100
1 1 0  33.14  2.703  100
1 2 8  58.00  1.590  35
2 0 8  46.16  1.966  34
3 0 0  59.21  1.561  19
1 0 16  54.28  1.690  13
2 2 0  69.56  1.352  12
1 1 15  58.72  1.572  9
1 1 9  43.71  2.071  8
0 2 16  65.09  1.433  7